[1]
Simulated PXRD pattern of La4CoHI2 for Cu Ka, from DFT lattice parameters and positions (GGA-PBE).
Kinematic intensities with the Lorentz-polarization factor, no thermal factor.

The 8 most intense peaks (5° ≤ 2θ ≤ 70°), low angle first:
| 2θ (°) | I (rel.) |
| --- | --- |
| 28.8 | 100.0 |
| 30.2 | 33.4 |
| 31.2 | 42.5 |
| 33.2 | 26.4 |
| 39.1 | 16.6 |
| 39.3 | 14.2 |
| 43.1 | 18.9 |
| 45.3 | 30.7 |

abc: 6.8354 4.2019 8.3800
angles: 90.00 104.76 90.00
Atoms (fractional coordinates):
1 La 0.2436 0.0000 0.1811
2 La 0.2528 0.5000 0.8148
3 La 0.7472 0.5000 0.1852
4 La 0.7564 0.0000 0.8189
5 Co 0.0000 0.5000 0.0000
6 H 0.5000 0.0000 0.0000
7 I 0.0000 0.0000 0.5000
8 I 0.5000 0.5000 0.5000

=====

[2]
Simulated PXRD pattern of Na3SiBSbO7 for Cu Ka, from DFT lattice parameters and positions (GGA-PBE).
Kinematic intensities with the Lorentz-polarization factor, no thermal factor.

The 8 most intense peaks (5° ≤ 2θ ≤ 70°), low angle first:
| 2θ (°) | I (rel.) |
| --- | --- |
| 9.6 | 100.0 |
| 16.2 | 88.0 |
| 19.1 | 77.5 |
| 21.0 | 45.4 |
| 25.5 | 62.8 |
| 26.1 | 77.4 |
| 32.6 | 88.0 |
| 33.3 | 51.9 |

abc: 5.3739 6.8298 9.2028
angles: 90.00 90.01 90.00
Atoms (fractional coordinates):
1 Na 0.2355 0.2500 0.4263
2 Na 0.2571 0.5104 0.7498
3 Na 0.2571 0.9896 0.7498
4 Na 0.7429 0.0104 0.2502
5 Na 0.7429 0.4896 0.2502
6 Na 0.7645 0.7500 0.5737
7 Si 0.2837 0.2500 0.0819
8 Si 0.7163 0.7500 0.9181
9 B 0.2765 0.7500 0.4375
10 B 0.7235 0.2500 0.5625
11 Sb 0.2154 0.7500 0.1566
12 Sb 0.7846 0.2500 0.8434
13 O 0.0433 0.7500 0.3645
14 O 0.1557 0.2500 0.9188
15 O 0.1941 0.0617 0.1823
16 O 0.1941 0.4383 0.1823
17 O 0.3039 0.7500 0.5820
18 O 0.4105 0.7500 0.9372
19 O 0.4788 0.7500 0.3386
20 O 0.5212 0.2500 0.6614
21 O 0.5895 0.2500 0.0628
22 O 0.6961 0.2500 0.4180
23 O 0.8059 0.5617 0.8177
24 O 0.8059 0.9383 0.8177
25 O 0.8443 0.7500 0.0812
26 O 0.9567 0.2500 0.6355

=====

[3]
Simulated PXRD pattern of Li2Fe2S3 for Cu Ka, from DFT lattice parameters and positions (GGA-PBE).
Kinematic intensities with the Lorentz-polarization factor, no thermal factor.

The 8 most intense peaks (5° ≤ 2θ ≤ 70°), low angle first:
| 2θ (°) | I (rel.) |
| --- | --- |
| 14.2 | 100.0 |
| 26.3 | 61.1 |
| 27.7 | 35.2 |
| 39.4 | 31.3 |
| 39.9 | 31.1 |
| 45.6 | 26.4 |
| 48.2 | 51.3 |
| 51.8 | 25.3 |

abc: 9.1803 9.1803 6.4417
angles: 109.93 109.93 81.08
Atoms (fractional coordinates):
1 Li 0.0747 0.9253 0.7500
2 Li 0.2206 0.7794 0.2500
3 Li 0.3199 0.4845 0.9591
4 Li 0.4845 0.3199 0.4591
5 Li 0.5155 0.6801 0.5409
6 Li 0.6801 0.5155 0.0409
7 Li 0.7794 0.2206 0.7500
8 Li 0.9253 0.0747 0.2500
9 Fe 0.0518 0.5641 0.3953
10 Fe 0.1292 0.2904 0.1386
11 Fe 0.2904 0.1292 0.6386
12 Fe 0.4359 0.9482 0.1047
13 Fe 0.5641 0.0518 0.8953
14 Fe 0.7096 0.8708 0.3614
15 Fe 0.8708 0.7096 0.8614
16 Fe 0.9482 0.4359 0.6047
17 S 0.0609 0.2185 0.7318
18 S 0.1078 0.6473 0.7936
19 S 0.2185 0.0609 0.2318
20 S 0.2839 0.4979 0.3228
21 S 0.3527 0.8922 0.7064
22 S 0.4979 0.2839 0.8228
23 S 0.5021 0.7161 0.1772
24 S 0.6473 0.1078 0.2936
25 S 0.7161 0.5021 0.6772
26 S 0.7815 0.9391 0.7682
27 S 0.8922 0.3527 0.2064
28 S 0.9391 0.7815 0.2682

=====

- Which formula does entry 3 have?
  Li2Fe2S3